Entry 1:
Diffraction record for TbCrO4. The powder diffractogram is theoretical, not measured: it uses a cell relaxed with GGA+U and a wavelength of 1.5418 Å.
Neutral-atom scattering factors, no anomalous dispersion.

Most intense lines, 15 to 90 degrees two-theta, in order of falling intensity:
- 2θ 29.40, d = 3.038 Å, I = 100, hkl 1 1 2
- 2θ 59.77, d = 1.547 Å, I = 30, hkl 3 1 2
- 2θ 48.03, d = 1.894 Å, I = 27, hkl 2 0 4
- 2θ 19.12, d = 4.642 Å, I = 27, hkl 1 0 1
- 2θ 35.30, d = 2.543 Å, I = 19, hkl 2 0 0
- 2θ 54.80, d = 1.675 Å, I = 19, hkl 1 1 6
- 2θ 31.51, d = 2.839 Å, I = 15, hkl 0 0 4
- 2θ 40.45, d = 2.230 Å, I = 15, hkl 1 2 1
- 2θ 77.95, d = 1.226 Å, I = 12, hkl 1 3 6
- 2θ 50.78, d = 1.798 Å, I = 11, hkl 2 2 0

a b c (Å): 5.0857 5.0857 11.3566
angles (deg): 90.00 90.00 90.00
Space group I4_1/a (No. 88, origin choice 2)
Inequivalent atoms, fractional coordinates:
Tb 0.0000 0.2500 0.1250 [4 per cell]
Cr 0.0000 0.2500 0.6250 [4 per cell]
O 0.1446 0.4918 0.2982 [16 per cell]



Entry 2:
Diffraction record for NiPtO3. The powder diffractogram is theoretical, not measured: it uses a cell relaxed with GGA+U and a wavelength of 1.5418 Å.
Neutral-atom scattering factors, no anomalous dispersion.

Most intense lines, 15 to 90 degrees two-theta, in order of falling intensity:
- 2θ 32.01, d = 2.796 Å, I = 100, hkl 1 1 0
- 2θ 22.48, d = 3.954 Å, I = 43, hkl 1 0 0
- 2θ 57.05, d = 1.614 Å, I = 40, hkl 2 1 1
- 2θ 45.90, d = 1.977 Å, I = 29, hkl 2 0 0
- 2θ 51.69, d = 1.768 Å, I = 19, hkl 2 1 0
- 2θ 66.93, d = 1.398 Å, I = 18, hkl 2 2 0
- 2θ 76.12, d = 1.251 Å, I = 17, hkl 3 1 0
- 2θ 71.58, d = 1.318 Å, I = 9, hkl 3 0 0
- 2θ 84.96, d = 1.142 Å, I = 6, hkl 2 2 2
- 2θ 89.32, d = 1.097 Å, I = 4, hkl 3 2 0

a b c (Å): 3.9544 3.9544 3.9544
angles (deg): 90.00 90.00 90.00
Space group Pm-3m (No. 221)
Inequivalent atoms, fractional coordinates:
Ni 0.0000 0.0000 0.0000 [1 per cell]
Pt 0.5000 0.5000 0.5000 [1 per cell]
O 0.0000 0.5000 0.5000 [3 per cell]



Entry 3:
Diffraction record for Li3Mn4VO8. The powder diffractogram is theoretical, not measured: it uses a cell relaxed with GGA+U and a wavelength of 1.5418 Å.
Neutral-atom scattering factors, no anomalous dispersion.

Most intense lines, 15 to 90 degrees two-theta, in order of falling intensity:
- 2θ 42.44, d = 2.130 Å, I = 100, hkl 2 2 -2
- 2θ 17.93, d = 4.947 Å, I = 74, hkl 2 0 -1
- 2θ 40.94, d = 2.204 Å, I = 55, hkl 4 0 0
- 2θ 60.21, d = 1.537 Å, I = 30, hkl 2 2 2
- 2θ 60.66, d = 1.527 Å, I = 28, hkl 6 2 -2
- 2θ 34.76, d = 2.581 Å, I = 25, hkl 0 2 1
- 2θ 17.80, d = 4.983 Å, I = 25, hkl 1 1 0
- 2θ 36.08, d = 2.489 Å, I = 24, hkl 2 2 0
- 2θ 61.48, d = 1.508 Å, I = 14, hkl 0 4 0
- 2θ 61.67, d = 1.504 Å, I = 14, hkl 4 0 -4

a b c (Å): 10.6270 6.0326 6.0165
angles (deg): 90.00 123.93 90.00
Space group C2/m (No. 12)
Inequivalent atoms, fractional coordinates:
Li 0.0000 0.0000 0.0000 [2 per cell]
Li 0.2500 0.2500 0.5000 [4 per cell]
Mn 0.0000 0.0000 0.5000 [2 per cell]
Mn 0.0000 0.5000 0.0000 [2 per cell]
Mn 0.2500 0.2500 0.0000 [4 per cell]
V 0.0000 0.5000 0.5000 [2 per cell]
O 0.0061 0.2563 0.2617 [8 per cell]
O 0.2264 0.5000 0.7427 [4 per cell]
O 0.2491 0.0000 0.7656 [4 per cell]



Entry 4:
Diffraction record for Ti3Fe3Bi7O21. The powder diffractogram is theoretical, not measured: it uses a cell relaxed with GGA+U and a wavelength of 1.5418 Å.
Neutral-atom scattering factors, no anomalous dispersion.

Most intense lines, 15 to 90 degrees two-theta, in order of falling intensity:
- 2θ 22.06, d = 4.030 Å, I = 100, hkl 0 0 7
- 2θ 30.14, d = 2.965 Å, I = 99, hkl 1 1 6
- 2θ 30.27, d = 2.952 Å, I = 97, hkl 1 1 -7
- 2θ 44.90, d = 2.019 Å, I = 55, hkl 2 2 -1
- 2θ 31.88, d = 2.807 Å, I = 53, hkl 0 2 0
- 2θ 30.77, d = 2.906 Å, I = 50, hkl 2 0 -1
- 2θ 55.77, d = 1.648 Å, I = 37, hkl 1 3 6
- 2θ 39.08, d = 2.305 Å, I = 30, hkl 0 2 7
- 2θ 49.82, d = 1.830 Å, I = 18, hkl 3 1 -2
- 2θ 54.49, d = 1.684 Å, I = 17, hkl 3 1 -8

a b c (Å): 5.8124 5.6142 28.3913
angles (deg): 90.00 95.52 90.00
Space group Cm (No. 8)
Inequivalent atoms, fractional coordinates:
Ti 0.0000 0.0000 0.0000 [2 per cell]
Ti 0.1221 0.0000 0.2863 [2 per cell]
Ti 0.3609 0.0000 0.7175 [2 per cell]
Fe 0.0462 0.0000 0.1452 [2 per cell]
Fe 0.1780 0.0000 0.4279 [2 per cell]
Fe 0.2657 0.0000 0.5716 [2 per cell]
Bi 0.0018 0.0000 0.8154 [2 per cell]
Bi 0.0493 0.5000 0.9032 [2 per cell]
Bi 0.0964 0.5000 0.0683 [2 per cell]
Bi 0.1462 0.5000 0.2095 [2 per cell]
Bi 0.2173 0.5000 0.3643 [2 per cell]
Bi 0.3066 0.5000 0.5084 [2 per cell]
Bi 0.3921 0.5000 0.6501 [2 per cell]
O 0.0268 0.0000 0.2178 [2 per cell]
O 0.0636 0.2423 0.7065 [4 per cell]
O 0.0905 0.0000 0.3546 [2 per cell]
O 0.1754 0.0000 0.4980 [2 per cell]
O 0.2093 0.2582 0.0104 [4 per cell]
O 0.2186 0.2507 0.8585 [4 per cell]
O 0.2589 0.2674 0.1498 [4 per cell]
O 0.2617 0.0000 0.6408 [2 per cell]
O 0.3143 0.2577 0.2856 [4 per cell]
O 0.3517 0.0000 0.7794 [2 per cell]
O 0.3881 0.2662 0.4226 [4 per cell]
O 0.4291 0.5000 0.9374 [2 per cell]
O 0.4744 0.2671 0.5666 [4 per cell]
O 0.4738 0.5000 0.0756 [2 per cell]



Entry 5:
Diffraction record for CaFe2O5. The powder diffractogram is theoretical, not measured: it uses a cell relaxed with GGA+U and a wavelength of 1.5418 Å.
Neutral-atom scattering factors, no anomalous dispersion.

Most intense lines, 15 to 90 degrees two-theta, in order of falling intensity:
- 2θ 16.80, d = 5.279 Å, I = 100, hkl 0 0 1
- 2θ 29.94, d = 2.984 Å, I = 81, hkl 1 0 1
- 2θ 22.94, d = 3.877 Å, I = 63, hkl 0 2 1
- 2θ 34.18, d = 2.623 Å, I = 54, hkl 1 3 0
- 2θ 28.90, d = 3.089 Å, I = 49, hkl 0 3 1
- 2θ 30.97, d = 2.887 Å, I = 46, hkl 1 1 1
- 2θ 45.40, d = 1.998 Å, I = 41, hkl 1 2 2
- 2θ 53.62, d = 1.709 Å, I = 38, hkl 1 4 2
- 2θ 50.45, d = 1.809 Å, I = 34, hkl 2 0 0
- 2θ 25.83, d = 3.449 Å, I = 28, hkl 1 1 0

a b c (Å): 3.6178 11.4278 5.2788
angles (deg): 90.00 90.00 90.00
Space group Pmmn (No. 59, origin choice 2)
Inequivalent atoms, fractional coordinates:
Ca 0.2500 0.2500 0.1331 [2 per cell]
Fe 0.2500 0.5998 0.4133 [4 per cell]
O 0.2500 0.0731 0.4304 [4 per cell]
O 0.2500 0.6507 0.0818 [4 per cell]
O 0.2500 0.7500 0.5645 [2 per cell]



Entry 6:
Diffraction record for Zn2SbWO6. The powder diffractogram is theoretical, not measured: it uses a cell relaxed with GGA+U and a wavelength of 1.5418 Å.
Neutral-atom scattering factors, no anomalous dispersion.

Most intense lines, 15 to 90 degrees two-theta, in order of falling intensity:
- 2θ 32.24, d = 2.776 Å, I = 100, hkl 1 2 1
- 2θ 31.65, d = 2.827 Å, I = 70, hkl 1 2 -1
- 2θ 56.74, d = 1.622 Å, I = 33, hkl 1 2 -3
- 2θ 32.92, d = 2.720 Å, I = 31, hkl 2 0 0
- 2θ 44.90, d = 2.019 Å, I = 16, hkl 0 4 0
- 2θ 58.74, d = 1.572 Å, I = 16, hkl 3 2 1
- 2θ 56.33, d = 1.633 Å, I = 15, hkl 0 4 2
- 2θ 57.84, d = 1.594 Å, I = 15, hkl 1 2 3
- 2θ 57.62, d = 1.600 Å, I = 15, hkl 3 2 -1
- 2θ 45.85, d = 1.979 Å, I = 14, hkl 2 0 -2

a b c (Å): 5.4442 8.0754 5.5610
angles (deg): 90.00 92.03 90.00
Space group P2_1/m (No. 11)
Inequivalent atoms, fractional coordinates:
Zn 0.0190 0.2500 0.0161 [2 per cell]
Zn 0.4779 0.7500 0.5243 [2 per cell]
Sb 0.5000 0.0000 0.0000 [2 per cell]
W 0.0000 0.0000 0.5000 [2 per cell]
O 0.1021 0.7500 0.6221 [2 per cell]
O 0.1481 0.5725 0.1843 [4 per cell]
O 0.3157 0.0726 0.6321 [4 per cell]
O 0.3807 0.2500 0.1292 [2 per cell]



Entry 7:
Diffraction record for La8Ni4O17. The powder diffractogram is theoretical, not measured: it uses a cell relaxed with GGA+U and a wavelength of 1.5418 Å.
Neutral-atom scattering factors, no anomalous dispersion.

Most intense lines, 15 to 90 degrees two-theta, in order of falling intensity:
- 2θ 31.26, d = 2.861 Å, I = 100, hkl 1 2 -1
- 2θ 46.61, d = 1.949 Å, I = 33, hkl 1 -4 2
- 2θ 32.37, d = 2.766 Å, I = 32, hkl -1 2 1
- 2θ 32.62, d = 2.745 Å, I = 31, hkl 0 2 -3
- 2θ 23.89, d = 3.724 Å, I = 21, hkl 1 -2 1
- 2θ 57.36, d = 1.606 Å, I = 19, hkl 1 4 -4
- 2θ 43.47, d = 2.082 Å, I = 14, hkl -3 2 1
- 2θ 43.67, d = 2.073 Å, I = 13, hkl 2 -2 3
- 2θ 42.62, d = 2.121 Å, I = 13, hkl 3 -2 1
- 2θ 28.23, d = 3.161 Å, I = 11, hkl 2 0 0

a b c (Å): 6.9027 7.7938 8.6881
angles (deg): 116.21 97.33 106.57
Space group P1 (No. 1)
Inequivalent atoms, fractional coordinates:
La 0.0000 0.0000 0.0000 [1 per cell]
La 0.0028 0.4980 0.9906 [1 per cell]
La 0.4215 0.0328 0.3524 [1 per cell]
La 0.4272 0.7833 0.8553 [1 per cell]
La 0.4312 0.5303 0.3491 [1 per cell]
La 0.4379 0.2937 0.8636 [1 per cell]
La 0.9887 0.2497 0.4954 [1 per cell]
La 0.9940 0.7566 0.5037 [1 per cell]
Ni 0.7069 0.0156 0.6760 [1 per cell]
Ni 0.7092 0.5147 0.6719 [1 per cell]
Ni 0.7147 0.2689 0.1752 [1 per cell]
Ni 0.7196 0.7695 0.1833 [1 per cell]
O 0.0556 0.1449 0.7640 [1 per cell]
O 0.0556 0.3691 0.2590 [1 per cell]
O 0.0571 0.9461 0.3315 [1 per cell]
O 0.0578 0.6140 0.6956 [1 per cell]
O 0.2059 0.8263 0.0500 [1 per cell]
O 0.3679 0.8891 0.5900 [1 per cell]
O 0.3719 0.3967 0.6020 [1 per cell]
O 0.3772 0.2000 0.0894 [1 per cell]
O 0.3787 0.5790 0.0892 [1 per cell]
O 0.6835 0.3773 0.4163 [1 per cell]
O 0.6854 0.8860 0.4232 [1 per cell]
O 0.6891 0.0063 0.1697 [1 per cell]
O 0.6975 0.1321 0.9218 [1 per cell]
O 0.7238 0.6503 0.9298 [1 per cell]
O 0.7244 0.7704 0.6777 [1 per cell]
O 0.7252 0.2759 0.6856 [1 per cell]
O 0.7682 0.5360 0.1869 [1 per cell]